# 1
Starting from a DFT-relaxed cell (GGA-PBE, the Materials Project), the X-ray powder pattern of LaCo was simulated for Cu Kα.
Peak positions follow from Bragg's law for the DFT cell and can differ from measured ones.

The 10 most intense peaks (2θ from 10° to 80°), by angle:
25.6 deg, d 3.483, rel. 25.5; 31.5 deg, d 2.844, rel. 5.0; 36.5 deg, d 2.463, rel. 100.0; 41.0 deg, d 2.203, rel. 8.4; 45.1 deg, d 2.011, rel. 10.0; 52.5 deg, d 1.742, rel. 14.1; 59.3 deg, d 1.558, rel. 16.8; 65.7 deg, d 1.422, rel. 25.4; 68.7 deg, d 1.366, rel. 4.6; 77.5 deg, d 1.231, rel. 6.9

Structural model:
```
LaCo
1.0
6.9662 0.0000 0.0000
0.0000 6.9662 0.0000
0.0000 0.0000 6.9662
La Co
8 8
direct
0.2405 0.2405 0.2405
0.2405 0.7595 0.2595
0.2595 0.2405 0.7595
0.2595 0.7595 0.7405
0.7405 0.2595 0.7595
0.7405 0.7405 0.7405
0.7595 0.2595 0.2405
0.7595 0.7405 0.2595
0.0420 0.4580 0.5420
0.0420 0.5420 0.9580
0.4580 0.4580 0.4580
0.4580 0.5420 0.0420
0.5420 0.0420 0.4580
0.5420 0.9580 0.0420
0.9580 0.0420 0.5420
0.9580 0.9580 0.9580
```


# 2
Starting from a DFT-relaxed cell (GGA-PBE, the Materials Project), the X-ray powder pattern of CaMg6CO8 was simulated for Cu Kα.
Peak positions follow from Bragg's law for the DFT cell and can differ from measured ones.

The 10 most intense peaks (2θ from 10° to 80°), by angle:
10.3 deg, d 8.600, rel. 5.9; 22.9 deg, d 3.880, rel. 7.0; 30.9 deg, d 2.895, rel. 4.8; 35.9 deg, d 2.501, rel. 15.2; 41.5 deg, d 2.174, rel. 100.0; 42.0 deg, d 2.150, rel. 46.5; 60.2 deg, d 1.537, rel. 27.9; 60.6 deg, d 1.529, rel. 52.8; 72.1 deg, d 1.310, rel. 6.6; 76.1 deg, d 1.250, rel. 23.8

Structural model:
```
CaMg6CO8
1.0
4.3478 0.0000 0.0000
0.0000 4.3478 0.0000
0.0000 0.0000 8.6005
Ca Mg C O
1 6 1 8
direct
0.0000 0.0000 0.0000
0.0000 0.5000 0.2600
0.0000 0.5000 0.7400
0.5000 0.0000 0.2600
0.5000 0.0000 0.7400
0.5000 0.5000 0.0000
0.5000 0.5000 0.5000
0.0000 0.0000 0.5000
0.0000 0.0000 0.2655
0.0000 0.0000 0.7345
0.0000 0.5000 0.0000
0.0000 0.5000 0.5000
0.5000 0.0000 0.0000
0.5000 0.0000 0.5000
0.5000 0.5000 0.2522
0.5000 0.5000 0.7478
```


# 3
Starting from a DFT-relaxed cell (GGA-PBE, the Materials Project), the X-ray powder pattern of Ba4Cu3PbO9 was simulated for Cu Kα.
Peak positions follow from Bragg's law for the DFT cell and can differ from measured ones.

The 10 most intense peaks (2θ from 10° to 80°), by angle:
15.3 deg, d 5.793, rel. 13.1; 26.7 deg, d 3.345, rel. 4.2; 30.9 deg, d 2.897, rel. 100.0; 34.6 deg, d 2.591, rel. 4.8; 38.0 deg, d 2.365, rel. 3.1; 41.2 deg, d 2.190, rel. 3.9; 44.2 deg, d 2.048, rel. 26.8; 54.9 deg, d 1.672, rel. 39.1; 64.3 deg, d 1.448, rel. 16.5; 73.0 deg, d 1.295, rel. 17.3

Structural model:
```
Ba4Cu3PbO9
1.0
8.1928 0.0000 0.0000
0.0000 8.1928 0.0000
0.0000 0.0000 8.1928
Ba Cu Pb O
8 6 2 18
direct
0.2500 0.2500 0.2500
0.2500 0.2500 0.7500
0.2500 0.7500 0.2500
0.2500 0.7500 0.7500
0.7500 0.2500 0.2500
0.7500 0.2500 0.7500
0.7500 0.7500 0.2500
0.7500 0.7500 0.7500
0.0000 0.0000 0.5000
0.0000 0.5000 0.0000
0.0000 0.5000 0.5000
0.5000 0.0000 0.0000
0.5000 0.0000 0.5000
0.5000 0.5000 0.0000
0.0000 0.0000 0.0000
0.5000 0.5000 0.5000
0.0000 0.0000 0.2713
0.0000 0.0000 0.7287
0.0000 0.2500 0.5000
0.0000 0.2713 0.0000
0.0000 0.7287 0.0000
0.0000 0.7500 0.5000
0.2287 0.5000 0.5000
0.2500 0.5000 0.0000
0.2713 0.0000 0.0000
0.5000 0.0000 0.2500
0.5000 0.0000 0.7500
0.5000 0.2287 0.5000
0.5000 0.5000 0.2287
0.5000 0.5000 0.7713
0.5000 0.7713 0.5000
0.7287 0.0000 0.0000
0.7500 0.5000 0.0000
0.7713 0.5000 0.5000
```


# 4
Starting from a DFT-relaxed cell (GGA-PBE, the Materials Project), the X-ray powder pattern of MgSi was simulated for Cu Kα.
Peak positions follow from Bragg's law for the DFT cell and can differ from measured ones.

The 10 most intense peaks (2θ from 10° to 80°), by angle:
33.1 deg, d 2.707, rel. 58.5; 34.3 deg, d 2.612, rel. 91.5; 35.0 deg, d 2.567, rel. 95.6; 36.8 deg, d 2.442, rel. 82.6; 38.5 deg, d 2.337, rel. 100.0; 39.4 deg, d 2.285, rel. 77.3; 40.1 deg, d 2.250, rel. 56.4; 40.5 deg, d 2.228, rel. 59.7; 45.8 deg, d 1.983, rel. 42.1; 45.9 deg, d 1.975, rel. 45.3

Structural model:
```
MgSi
1.0
5.3905 0.0000 0.0000
0.0000 5.8693 0.0000
-0.8784 0.0000 14.0150
Mg Si
12 12
direct
0.0082 0.0000 0.0639
0.0995 0.0759 0.5968
0.2073 0.5772 0.5953
0.2312 0.1433 0.2612
0.3842 0.6365 0.2746
0.4910 0.9649 0.9328
0.5090 0.4649 0.0672
0.6158 0.1365 0.7254
0.7688 0.6433 0.7388
0.7927 0.0772 0.4047
0.9005 0.5759 0.4032
0.9918 0.5000 0.9361
0.0281 0.4790 0.1308
0.1438 0.2907 0.7707
0.2650 0.7789 0.7720
0.3222 0.8892 0.4418
0.3249 0.3074 0.4417
0.4838 0.4581 0.8725
0.5162 0.9581 0.1275
0.6751 0.8074 0.5583
0.6778 0.3892 0.5582
0.7350 0.2789 0.2280
0.8562 0.7907 0.2293
0.9719 0.9790 0.8692
```


# 5
Starting from a DFT-relaxed cell (GGA-PBE, the Materials Project), the X-ray powder pattern of Be3Ni was simulated for Cu Kα.
Peak positions follow from Bragg's law for the DFT cell and can differ from measured ones.

The 10 most intense peaks (2θ from 10° to 80°), by angle:
26.1 deg, d 3.415, rel. 39.7; 31.3 deg, d 2.857, rel. 100.0; 40.6 deg, d 2.224, rel. 24.5; 48.9 deg, d 1.864, rel. 53.7; 49.4 deg, d 1.844, rel. 26.8; 53.7 deg, d 1.707, rel. 10.0; 58.7 deg, d 1.573, rel. 15.0; 65.3 deg, d 1.429, rel. 10.7; 68.0 deg, d 1.378, rel. 18.7; 69.4 deg, d 1.354, rel. 8.8

Structural model:
```
Be3Ni
1.0
3.1456 0.0000 0.0000
0.0000 3.1456 0.0000
0.0000 0.0000 6.8294
Be Ni
6 2
direct
0.0000 0.0000 0.0000
0.0000 0.5000 0.2500
0.0000 0.5000 0.7500
0.5000 0.0000 0.2500
0.5000 0.0000 0.7500
0.5000 0.5000 0.5000
0.0000 0.0000 0.5000
0.5000 0.5000 0.0000
```


# 6
Starting from a DFT-relaxed cell (GGA-PBE, the Materials Project), the X-ray powder pattern of CsP2Ir2 was simulated for Cu Kα.
Peak positions follow from Bragg's law for the DFT cell and can differ from measured ones.

The 10 most intense peaks (2θ from 10° to 80°), by angle:
12.2 deg, d 7.274, rel. 95.2; 24.5 deg, d 3.637, rel. 56.2; 29.0 deg, d 3.075, rel. 25.0; 34.2 deg, d 2.622, rel. 100.0; 40.6 deg, d 2.224, rel. 22.2; 45.6 deg, d 1.988, rel. 31.3; 47.4 deg, d 1.918, rel. 13.5; 49.7 deg, d 1.836, rel. 48.8; 52.5 deg, d 1.744, rel. 29.1; 77.0 deg, d 1.239, rel. 19.8

Structural model:
```
CsP2Ir2
1.0
3.9758 0.0000 0.0000
0.0000 3.9758 0.0000
0.0000 0.0000 14.5479
Cs P Ir
2 4 4
direct
0.0000 0.0000 0.0000
0.5000 0.5000 0.5000
0.0000 0.0000 0.3377
0.0000 0.0000 0.6623
0.5000 0.5000 0.1623
0.5000 0.5000 0.8377
0.0000 0.5000 0.2500
0.0000 0.5000 0.7500
0.5000 0.0000 0.2500
0.5000 0.0000 0.7500
```


# 7
Starting from a DFT-relaxed cell (GGA-PBE, the Materials Project), the X-ray powder pattern of YMo6S8 was simulated for Cu Kα.
Peak positions follow from Bragg's law for the DFT cell and can differ from measured ones.

The 10 most intense peaks (2θ from 10° to 80°), by angle:
13.6 deg, d 6.506, rel. 100.0; 19.2 deg, d 4.622, rel. 25.6; 19.4 deg, d 4.579, rel. 20.4; 30.8 deg, d 2.899, rel. 34.3; 33.8 deg, d 2.652, rel. 49.0; 41.3 deg, d 2.187, rel. 30.7; 41.8 deg, d 2.160, rel. 49.0; 43.9 deg, d 2.063, rel. 34.4; 44.1 deg, d 2.052, rel. 20.6; 46.3 deg, d 1.960, rel. 59.9

Structural model:
```
YMo6S8
1.0
4.5789 2.6436 3.7917
-4.5789 2.6436 3.7917
0.0000 -5.2873 3.7917
Y Mo S
1 6 8
direct
0.0000 0.0000 0.0000
0.2235 0.4200 0.5601
0.4200 0.5601 0.2235
0.4399 0.7765 0.5800
0.5601 0.2235 0.4200
0.5800 0.4399 0.7765
0.7765 0.5800 0.4399
0.1285 0.7519 0.3689
0.2382 0.2382 0.2382
0.2481 0.6311 0.8715
0.3689 0.1285 0.7519
0.6311 0.8715 0.2481
0.7519 0.3689 0.1285
0.7618 0.7618 0.7618
0.8715 0.2481 0.6311
```